TmBiF6: theoretical powder X-ray diffraction pattern (Cu Kα (λ = 1.5418 Å)), based on DFT lattice parameters and positions (PBE).

Crystal structure
Cell lengths 5.3467, 5.3467, 8.0855 Å; angles 90.00, 90.00, 90.00 degrees
Space group P4_2/m (No. 84)
Asymmetric unit:
Tm  0.0000  0.0000  0.2500 [2 per cell]
Bi  0.5000  0.5000  0.0000 [2 per cell]
F  0.1650  0.8084  0.0000 [4 per cell]
F  0.2493  0.7049  0.3196 [8 per cell]

Main lines, low angle first (10° ≤ 2θ ≤ 90°):
hkl  2θ (°)  Rel. int.
1 1 0  23.53  890
1 0 2  27.66  1000
2 0 0  33.52  191
2 1 2  44.00  734
2 2 0  48.14  187
1 1 4  51.25  226
1 3 0  54.25  170
3 0 2  56.42  207
2 0 4  57.13  150
3 2 2  67.25  163